Structure and calculated powder XRD pattern of K7AuCl2O2 (a structure optimized by DFT (PBE); Cu Kα (λ = 1.5418 Å)).

Largest 8 diffraction maxima, in order of rising 2θ, 2θ from 10° to 90°:
(hkl)  two_theta  d_spacing  intensity
0 3 1  18.4  4.835  500
1 3 0  19.8  4.485  558
1 2 1  23.3  3.811  531
1 4 1  26.6  3.350  1000
0 0 2  29.7  3.010  654
1 7 0  30.6  2.920  385
1 6 1  31.4  2.852  796
2 0 0  33.3  2.692  539

Crystal structure
```
data_K7AuCl2O2
_chemical_formula_sum 'K14 Au2 Cl4 O4'
_cell_length_a 5.3817
_cell_length_b 24.3360
_cell_length_c 6.0206
_cell_angle_alpha 90.00
_cell_angle_beta 90.00
_cell_angle_gamma 90.00
_space_group_name_H-M_alt 'I m m 2'
_space_group_IT_number 44
_space_group_name_Hall 'I 2 -2'
loop_
_atom_site_label
_atom_site_type_symbol
_atom_site_fract_x
_atom_site_fract_y
_atom_site_fract_z
K1 K 0.0000 0.0000 0.0000
K2 K 0.0000 0.1024 0.5101
K3 K 0.0000 0.2107 0.0475
K4 K 0.0000 0.3911 0.5322
Au1 Au 0.0000 0.5000 0.0782
Cl1 Cl 0.0000 0.2301 0.5487
O1 O 0.0000 0.1042 0.0760
```